The following is a computed X-ray diffraction stick pattern of K4LiMn4O8. It was derived from a crystal structure in Alexandria, relaxed with PBE+U, using Cu Kα, 1.54184 Å.
Kinematic intensities with the Lorentz-polarization factor, no thermal factor.

Structure:
Cell lengths 6.9402, 3.0034, 12.3329 Å; angles 90.00, 90.95, 90.00 degrees
Fractional coordinates of all 17 atoms:
K: 0.0000 0.0000 0.0000
K: 0.1588 0.0000 0.5547
K: 0.3678 0.5000 0.2799
K: 0.7881 0.5000 0.7472
Li: 0.7173 0.0000 0.1650
Mn: 0.3006 0.5000 0.8196
Mn: 0.5007 0.0000 0.9964
Mn: 0.6382 0.0000 0.4961
Mn: 0.8889 0.5000 0.3387
O: 0.0693 0.0000 0.3248
O: 0.1227 0.0000 0.7853
O: 0.2960 0.5000 0.9851
O: 0.4586 0.5000 0.5012
O: 0.4947 0.0000 0.8184
O: 0.6850 0.5000 0.0718
O: 0.6949 0.0000 0.3193
O: 0.8259 0.5000 0.5181

The 6 most intense peaks (10° ≤ 2θ ≤ 90°), by angle:
Position (°2θ)	intensity	index
14.37	87	0 0 2
28.96	100	0 0 4
29.33	59	2 0 -2
33.18	66	0 1 2
39.69	93	2 1 0
40.47	57	2 1 1